Computed X-ray powder pattern
Compound: In5Ag6
Radiation: Cu Kα (weighted mean of Kα1 and Kα2)
Structure: a GGA-PBE-relaxed structure
No peak broadening, texture or thermal motion is included.

The 10 most intense peaks (2θ from 5° to 70°), in order of rising 2θ:
d_spacing, I (rel.)
2.704, 100
2.685, 96
2.570, 64
2.312, 43
2.266, 50
2.235, 73
2.119, 19
2.065, 24
1.777, 32
1.350, 20

Atomic structure:
```
In5Ag6
1.0
3.6836 -5.7644 0.0000
3.6836 5.7644 0.0000
-2.0382 0.0000 5.6728
In Ag
5 6
Direct
0.0000 0.0000 0.0000
0.1439 0.8561 0.5000
0.2758 0.7242 0.0000
0.7242 0.2758 0.0000
0.8561 0.1439 0.5000
0.1965 0.4479 0.3144
0.3438 0.3438 0.7638
0.4479 0.1965 0.3144
0.5521 0.8035 0.6856
0.6562 0.6562 0.2362
0.8035 0.5521 0.6856
```